(1)
Theoretical powder diffraction line list of CaSiO3 for Cu Kα X-rays, from a crystal structure in the Materials Project, relaxed with PBE.
Peak positions follow from Bragg's law for the DFT cell and can differ from measured ones.

Atomic structure:
a = 6.9056 Å, b = 11.9875 Å, c = 19.7963 Å
α = 90.00°, β = 90.66°, γ = 90.00°
Space group C2/c (No. 15)
Inequivalent atoms, fractional coordinates:
Ca 0.0000 0.0000 0.0000
Ca 0.0000 0.0055 0.2500
Ca 0.0000 0.3288 0.2500
Ca 0.0000 0.3432 0.7500
Ca 0.0126 0.3359 0.5004
Si 0.0930 0.1704 0.6279
Si 0.2019 0.2028 0.1222
Si 0.2069 0.4612 0.1249
O 0.0516 0.0574 0.8739
O 0.0559 0.2816 0.8749
O 0.1095 0.3326 0.1237
O 0.1457 0.1492 0.1935
O 0.1521 0.1545 0.0480
O 0.1548 0.4879 0.6974
O 0.1582 0.4853 0.5525
O 0.1913 0.1723 0.7021
O 0.2006 0.1702 0.5566

Principal peaks in the range 10° ≤ 2θ ≤ 80°, in order of rising 2θ:
2θ/deg, d_spacing, intensity, index
25.77, 3.457, 47.7, 1 3 0
27.26, 3.271, 91.5, 1 3 -2
27.40, 3.255, 100.0, 2 0 2
31.46, 2.844, 81.4, 1 3 -4
31.65, 2.827, 55.7, 1 3 4
36.31, 2.474, 39.3, 0 0 8
45.38, 1.999, 54.4, 0 6 0
45.48, 1.994, 78.5, 3 3 0

---

(2)
Theoretical powder diffraction line list of Sm3TlC for Cu Kα X-rays, from a crystal structure in the Materials Project, relaxed with PBE.
Peak positions follow from Bragg's law for the DFT cell and can differ from measured ones.

Atomic structure:
a = 5.0628 Å, b = 5.0628 Å, c = 5.0628 Å
α = 90.00°, β = 90.00°, γ = 90.00°
Space group Pm-3m (No. 221)
Inequivalent atoms, fractional coordinates:
Sm 0.0000 0.0000 0.5000
Tl 0.5000 0.5000 0.5000
C 0.0000 0.0000 0.0000

Principal peaks in the range 10° ≤ 2θ ≤ 80°, in order of rising 2θ:
2θ/deg, d_spacing, intensity, index
24.87, 3.580, 2.3, 1 1 0
30.58, 2.923, 100.0, 1 1 1
35.46, 2.531, 54.2, 2 0 0
43.80, 2.067, 1.0, 2 1 1
51.02, 1.790, 38.6, 2 2 0
60.67, 1.526, 43.7, 3 1 1
63.67, 1.462, 13.2, 2 2 2
75.05, 1.266, 6.1, 4 0 0

---

(3)
Theoretical powder diffraction line list of Tc3Pd for Cu Kα X-rays, from a crystal structure in the Materials Project, relaxed with PBE.
Peak positions follow from Bragg's law for the DFT cell and can differ from measured ones.

Atomic structure:
a = 5.5481 Å, b = 5.5481 Å, c = 4.3934 Å
α = 90.00°, β = 90.00°, γ = 120.00°
Space group P6_3/mmc (No. 194)
Inequivalent atoms, fractional coordinates:
Tc 0.1586 0.3171 0.2500
Pd 0.3333 0.6667 0.7500

Principal peaks in the range 10° ≤ 2θ ≤ 80°, in order of rising 2θ:
2θ/deg, d_spacing, intensity, index
37.43, 2.402, 24.6, 2 0 0
41.09, 2.197, 25.6, 0 0 2
42.91, 2.108, 100.0, 2 0 1
56.79, 1.621, 14.3, 2 0 2
61.64, 1.505, 1.0, 3 0 1
67.53, 1.387, 16.2, 2 2 0
76.12, 1.250, 17.6, 2 0 3
79.85, 1.201, 2.5, 4 0 0